For PmThSe3, DFT lattice parameters and positions (PBE) gives the simulated powder X-ray diffraction pattern in this record (Cu Kα).
Lines closer than 0.1° are merged.

Structure:
Cell: 4.286 21.120 7.401 Å, 90.00 90.00 90.00°
Space group Cmc2_1 (No. 36)
Asymmetric unit:
1 Pm 0.000 0.161 0.000 (multiplicity 4)
2 Th 0.000 0.339 0.005 (multiplicity 4)
3 Se 0.000 0.092 0.340 (multiplicity 4)
4 Se 0.000 0.250 0.669 (multiplicity 4)
5 Se 0.000 0.409 0.332 (multiplicity 4)

Largest 6 diffraction maxima, in order of falling intensity, 2θ from 10° to 80°:
2θ/deg, Rel. int.
32.12, 100
24.37, 66
42.50, 64
35.19, 55
38.46, 51
16.79, 46


For Pm2ThSe3, DFT lattice parameters and positions (PBE) gives the simulated powder X-ray diffraction pattern in this record (Cu Kα).
Lines closer than 0.1° are merged.

Structure:
Cell: 4.1128 4.1128 21.4920 Å, 90.00 90.00 120.00°
Space group P6_3/mmc (No. 194)
Asymmetric unit:
1 Pm 0.3333 0.6667 0.0821 (multiplicity 4)
2 Th 0.0000 0.0000 0.2500 (multiplicity 2)
3 Se 0.0000 0.0000 0.0000 (multiplicity 2)
4 Se 0.3333 0.6667 0.6640 (multiplicity 4)

Largest 6 diffraction maxima, in order of falling intensity, 2θ from 10° to 80°:
2θ/deg, Rel. int.
30.10, 100
44.03, 58
27.98, 43
42.13, 40
32.65, 32
69.61, 30


For Pm3Th4Se8, DFT lattice parameters and positions (PBE) gives the simulated powder X-ray diffraction pattern in this record (Cu Kα).
Lines closer than 0.1° are merged.

Structure:
Cell: 11.804 11.819 8.333 Å, 90.00 134.75 90.00°
Space group C2/m (No. 12)
Asymmetric unit:
1 Pm 0.000 0.000 0.000 (multiplicity 2)
2 Pm 0.250 0.250 0.000 (multiplicity 4)
3 Th 0.000 0.500 0.000 (multiplicity 2)
4 Th 0.000 0.500 0.500 (multiplicity 2)
5 Th 0.250 0.250 0.500 (multiplicity 4)
6 Se 0.000 0.243 0.500 (multiplicity 4)
7 Se 0.000 0.249 0.000 (multiplicity 4)
8 Se 0.240 0.000 0.498 (multiplicity 4)
9 Se 0.244 0.000 0.988 (multiplicity 4)

Largest 6 diffraction maxima, in order of falling intensity, 2θ from 10° to 80°:
2θ/deg, Rel. int.
30.25, 100
43.30, 50
53.61, 13
53.85, 13
43.16, 13
43.44, 12


For Pm3ThSe4, DFT lattice parameters and positions (PBE) gives the simulated powder X-ray diffraction pattern in this record (Cu Kα).
Lines closer than 0.1° are merged.

Structure:
Cell: 4.1226 4.1226 28.4866 Å, 90.00 90.00 120.00°
Space group P6_3/mmc (No. 194)
Asymmetric unit:
1 Pm 0.0000 0.0000 0.0000 (multiplicity 2)
2 Pm 0.3333 0.6667 0.1234 (multiplicity 4)
3 Th 0.3333 0.6667 0.7500 (multiplicity 2)
4 Se 0.0000 0.0000 0.1854 (multiplicity 4)
5 Se 0.3333 0.6667 0.5616 (multiplicity 4)

Largest 6 diffraction maxima, in order of falling intensity, 2θ from 10° to 80°:
2θ/deg, Rel. int.
29.53, 100
31.35, 70
43.92, 67
43.15, 39
69.80, 33
26.67, 33


For Pm5ThSe6, DFT lattice parameters and positions (PBE) gives the simulated powder X-ray diffraction pattern in this record (Cu Kα).
Lines closer than 0.1° are merged.

Structure:
Cell: 7.245 12.608 7.291 Å, 90.00 109.63 90.00°
Space group C2/m (No. 12)
Asymmetric unit:
1 Pm 0.000 0.000 0.000 (multiplicity 2)
2 Pm 0.000 0.167 0.500 (multiplicity 4)
3 Pm 0.000 0.331 0.000 (multiplicity 4)
4 Th 0.000 0.500 0.500 (multiplicity 2)
5 Se 0.249 0.500 0.248 (multiplicity 4)
6 Se 0.250 0.167 0.250 (multiplicity 8)

Largest 6 diffraction maxima, in order of falling intensity, 2θ from 10° to 80°:
2θ/deg, Rel. int.
30.11, 100
43.01, 38
43.21, 37
53.40, 20
25.96, 16
78.92, 13


For Pm2Th3Se6, DFT lattice parameters and positions (PBE) gives the simulated powder X-ray diffraction pattern in this record (Cu Kα).
Lines closer than 0.1° are merged.

Structure:
Cell: 7.167 12.480 7.285 Å, 90.00 109.33 90.00°
Space group C2/m (No. 12)
Asymmetric unit:
1 Pm 0.000 0.166 0.000 (multiplicity 4)
2 Th 0.000 0.000 0.500 (multiplicity 2)
3 Th 0.000 0.333 0.500 (multiplicity 4)
4 Se 0.241 0.339 0.241 (multiplicity 8)
5 Se 0.242 0.500 0.760 (multiplicity 4)

Largest 6 diffraction maxima, in order of falling intensity, 2θ from 10° to 80°:
2θ/deg, Rel. int.
30.32, 100
43.14, 25
43.69, 25
12.88, 13
53.96, 13
43.31, 13